# 1
For Y5Ge10Os4, a structure optimized by DFT (GGA-PBE) gives the computed XRD peak list in this record (Cu Kα (λ = 1.5418 Å)).

Cell and atoms:
Cell: 13.0947 13.0947 4.3213 Å, 90.00 90.00 90.00°
Atoms (fractional coordinates):
Y: 0.0000 0.0000 0.0000
Y: 0.1173 0.3827 0.5000
Y: 0.1724 0.6724 0.5000
Y: 0.3276 0.1724 0.5000
Y: 0.3827 0.8827 0.5000
Y: 0.5000 0.5000 0.0000
Y: 0.6173 0.1173 0.5000
Y: 0.6724 0.8276 0.5000
Y: 0.8276 0.3276 0.5000
Y: 0.8827 0.6173 0.5000
Ge: 0.0077 0.8417 0.5000
Ge: 0.0678 0.5678 0.0000
Ge: 0.1583 0.0077 0.5000
Ge: 0.1642 0.1982 0.0000
Ge: 0.1982 0.8358 0.0000
Ge: 0.3018 0.3358 0.0000
Ge: 0.3358 0.6982 0.0000
Ge: 0.3417 0.5077 0.5000
Ge: 0.4322 0.0678 0.0000
Ge: 0.4923 0.3417 0.5000
Ge: 0.5077 0.6583 0.5000
Ge: 0.5678 0.9322 0.0000
Ge: 0.6583 0.4923 0.5000
Ge: 0.6642 0.3018 0.0000
Ge: 0.6982 0.6642 0.0000
Ge: 0.8018 0.1642 0.0000
Ge: 0.8358 0.8018 0.0000
Ge: 0.8417 0.9923 0.5000
Ge: 0.9322 0.4322 0.0000
Ge: 0.9923 0.1583 0.5000
Os: 0.0184 0.7529 0.0000
Os: 0.2471 0.0184 0.0000
Os: 0.2529 0.5184 0.0000
Os: 0.4816 0.2529 0.0000
Os: 0.5184 0.7471 0.0000
Os: 0.7471 0.4816 0.0000
Os: 0.7529 0.9816 0.0000
Os: 0.9816 0.2471 0.0000

Most intense lines, 5 to 70 degrees two-theta, in order of rising 2θ:
| d (Å) | 2θ/deg | intensity |
| --- | --- | --- |
| 4.630 | 19.17 | 64 |
| 4.321 | 20.55 | 40 |
| 3.274 | 27.24 | 30 |
| 2.609 | 34.37 | 100 |
| 2.559 | 35.06 | 30 |
| 2.512 | 35.75 | 71 |
| 2.161 | 41.81 | 64 |
| 2.070 | 43.72 | 39 |
| 1.867 | 48.77 | 51 |
| 1.387 | 67.55 | 29 |

***

# 2
For Si16Ge12P3Pd, a structure optimized by DFT (GGA-PBE) gives the computed XRD peak list in this record (Cu Kα (λ = 1.5418 Å)).

Cell and atoms:
Cell: 6.8108 10.3126 10.4189 Å, 81.19 71.09 83.45°
Atoms (fractional coordinates):
Si: 0.0000 0.0000 0.0000
Si: 0.0002 0.3770 0.8766
Si: 0.1057 0.4531 0.2745
Si: 0.1113 0.5812 0.8920
Si: 0.1144 0.3344 0.6466
Si: 0.1158 0.2020 0.0160
Si: 0.4753 0.5652 0.8200
Si: 0.4813 0.6801 0.4359
Si: 0.4851 0.1836 0.9393
Si: 0.4930 0.0577 0.3203
Si: 0.6142 0.2615 0.3329
Si: 0.6174 0.5215 0.5838
Si: 0.6198 0.1362 0.7119
Si: 0.6209 0.6388 0.2021
Si: 0.9914 0.5021 0.5026
Si: 0.9933 0.6154 0.1229
Ge: 0.0006 0.8605 0.3820
Ge: 0.1054 0.9319 0.7781
Ge: 0.1165 0.8205 0.1411
Ge: 0.1182 0.0733 0.3999
Ge: 0.4834 0.4356 0.1912
Ge: 0.4849 0.9313 0.7058
Ge: 0.4919 0.3113 0.5690
Ge: 0.6119 0.8792 0.4645
Ge: 0.6206 0.0104 0.0818
Ge: 0.6226 0.3875 0.9509
Ge: 0.9897 0.2485 0.2504
Ge: 0.9941 0.1255 0.6375
P: 0.1231 0.6904 0.5223
P: 0.4928 0.8020 0.0600
P: 0.6196 0.7523 0.8380
Pd: 0.9744 0.7334 0.7468

Most intense lines, 5 to 70 degrees two-theta, in order of rising 2θ:
| d (Å) | 2θ/deg | intensity |
| --- | --- | --- |
| 10.167 | 8.70 | 16 |
| 3.218 | 27.72 | 100 |
| 3.194 | 27.93 | 50 |
| 3.178 | 28.08 | 55 |
| 1.973 | 46.00 | 24 |
| 1.966 | 46.17 | 48 |
| 1.961 | 46.30 | 23 |
| 1.956 | 46.42 | 24 |
| 1.944 | 46.74 | 22 |
| 1.678 | 54.70 | 28 |

***

# 3
For Si17Ge13PPt, a structure optimized by DFT (GGA-PBE) gives the computed XRD peak list in this record (Cu Kα (λ = 1.5418 Å)).

Cell and atoms:
Cell: 6.8662 10.3397 10.3720 Å, 81.25 83.68 71.37°
Atoms (fractional coordinates):
Si: 0.0000 0.0000 0.0000
Si: 0.0009 0.1182 0.6184
Si: 0.0085 0.4976 0.4898
Si: 0.0120 0.6233 0.1132
Si: 0.3622 0.9056 0.9910
Si: 0.3753 0.4239 0.4735
Si: 0.3770 0.5538 0.0968
Si: 0.3780 0.7928 0.3484
Si: 0.3836 0.1673 0.2232
Si: 0.4979 0.5635 0.3008
Si: 0.5024 0.4316 0.6756
Si: 0.5030 0.9333 0.1794
Si: 0.5036 0.3163 0.0587
Si: 0.8685 0.2313 0.0451
Si: 0.8704 0.8554 0.1610
Si: 0.8763 0.7245 0.5412
Si: 0.8792 0.1036 0.4184
Ge: 0.0029 0.8681 0.3673
Ge: 0.0059 0.3701 0.8733
Ge: 0.0057 0.7381 0.7457
Ge: 0.0098 0.2425 0.2441
Ge: 0.3737 0.0419 0.6033
Ge: 0.3842 0.6581 0.7430
Ge: 0.3858 0.2911 0.8557
Ge: 0.4975 0.0464 0.8163
Ge: 0.5032 0.8018 0.5551
Ge: 0.5057 0.1875 0.4269
Ge: 0.8743 0.4852 0.2871
Ge: 0.8755 0.3566 0.6618
Ge: 0.8780 0.9781 0.7970
P: 0.8859 0.6011 0.9236
Pt: 0.5289 0.6839 0.9389

Most intense lines, 5 to 70 degrees two-theta, in order of rising 2θ:
| d (Å) | 2θ/deg | intensity |
| --- | --- | --- |
| 10.229 | 8.64 | 26 |
| 3.246 | 27.48 | 49 |
| 3.207 | 27.81 | 100 |
| 3.184 | 28.03 | 53 |
| 1.980 | 45.83 | 47 |
| 1.971 | 46.04 | 23 |
| 1.965 | 46.20 | 23 |
| 1.954 | 46.48 | 23 |
| 1.948 | 46.62 | 23 |
| 1.674 | 54.84 | 26 |

***

# 4
For Si17Ge13PPt, a structure optimized by DFT (GGA-PBE) gives the computed XRD peak list in this record (Cu Kα (λ = 1.5418 Å)).

Cell and atoms:
Cell: 5.5564 3.9176 31.5022 Å, 90.00 91.02 90.00°
Atoms (fractional coordinates):
Si: 0.0000 0.0000 0.0000
Si: 0.0003 0.0000 0.2484
Si: 0.0087 0.0000 0.6314
Si: 0.0229 0.0000 0.5004
Si: 0.2261 0.5000 0.7464
Si: 0.2402 0.5000 0.9983
Si: 0.2425 0.5000 0.2472
Si: 0.2654 0.5000 0.5012
Si: 0.4495 0.5000 0.6834
Si: 0.4876 0.5000 0.9379
Si: 0.4995 0.5000 0.1881
Si: 0.7411 0.0000 0.1882
Si: 0.7475 0.0000 0.8087
Si: 0.7530 0.0000 0.0605
Si: 0.7560 0.0000 0.3095
Si: 0.9841 0.0000 0.7477
Si: 0.9958 0.0000 0.3720
Ge: 0.2466 0.5000 0.3725
Ge: 0.2508 0.5000 0.8733
Ge: 0.2527 0.5000 0.1248
Ge: 0.4960 0.5000 0.8081
Ge: 0.5014 0.5000 0.0601
Ge: 0.5023 0.5000 0.4376
Ge: 0.5034 0.5000 0.3090
Ge: 0.7078 0.0000 0.6859
Ge: 0.7389 0.0000 0.9380
Ge: 0.7677 0.0000 0.4367
Ge: 0.7726 0.0000 0.5630
Ge: 0.9871 0.0000 0.8731
Ge: 0.9881 0.0000 0.1253
P: 0.5048 0.5000 0.5612
Pt: 0.2324 0.5000 0.6186

Most intense lines, 5 to 70 degrees two-theta, in order of rising 2θ:
| d (Å) | 2θ/deg | intensity |
| --- | --- | --- |
| 7.874 | 11.24 | 35 |
| 3.240 | 27.53 | 50 |
| 3.202 | 27.87 | 100 |
| 3.186 | 28.01 | 57 |
| 1.976 | 45.92 | 48 |
| 1.969 | 46.11 | 23 |
| 1.959 | 46.36 | 24 |
| 1.952 | 46.53 | 45 |
| 1.669 | 55.02 | 28 |
| 1.389 | 67.44 | 22 |

***

# 5
For Si16Ge12P3Pt, a structure optimized by DFT (GGA-PBE) gives the computed XRD peak list in this record (Cu Kα (λ = 1.5418 Å)).

Cell and atoms:
Cell: 6.7993 10.3181 10.4026 Å, 81.25 71.17 83.45°
Atoms (fractional coordinates):
Si: 0.0000 0.0000 0.0000
Si: 0.0000 0.4975 0.5105
Si: 0.3718 0.8630 0.3002
Si: 0.3727 0.9770 0.9198
Si: 0.3791 0.3609 0.7982
Si: 0.3797 0.7379 0.6746
Si: 0.4849 0.8137 0.0712
Si: 0.4876 0.9433 0.6878
Si: 0.4955 0.6959 0.4445
Si: 0.4961 0.5626 0.8136
Si: 0.8537 0.9259 0.6176
Si: 0.8626 0.0416 0.2336
Si: 0.8650 0.5441 0.7380
Si: 0.8734 0.4188 0.1195
Si: 0.9941 0.6225 0.1313
Si: 0.9980 0.8829 0.3815
Ge: 0.0002 0.3717 0.8812
Ge: 0.0014 0.7484 0.7488
Ge: 0.3695 0.6085 0.0485
Ge: 0.3748 0.4870 0.4364
Ge: 0.3805 0.2222 0.1812
Ge: 0.4835 0.2918 0.5760
Ge: 0.4963 0.1819 0.9396
Ge: 0.4983 0.4346 0.1990
Ge: 0.8625 0.7963 0.9893
Ge: 0.8642 0.2928 0.5045
Ge: 0.8732 0.6727 0.3671
Ge: 0.9918 0.2404 0.2637
P: 0.5031 0.0511 0.3209
P: 0.8731 0.1637 0.8585
P: 0.9994 0.1128 0.6345
Pt: 0.3508 0.0947 0.5424

Most intense lines, 5 to 70 degrees two-theta, in order of rising 2θ:
| d (Å) | 2θ/deg | intensity |
| --- | --- | --- |
| 3.214 | 27.75 | 100 |
| 3.194 | 27.93 | 53 |
| 3.176 | 28.09 | 58 |
| 1.971 | 46.04 | 25 |
| 1.964 | 46.21 | 49 |
| 1.959 | 46.35 | 24 |
| 1.954 | 46.48 | 24 |
| 1.945 | 46.70 | 24 |
| 1.677 | 54.72 | 31 |
| 1.673 | 54.86 | 22 |

***

# 6
For ReSi17Ge13P, a structure optimized by DFT (GGA-PBE) gives the computed XRD peak list in this record (Cu Kα (λ = 1.5418 Å)).

Cell and atoms:
Cell: 5.5782 3.9238 31.4482 Å, 90.00 90.11 90.00°
Atoms (fractional coordinates):
Re: 0.0000 0.0000 0.0000
Si: 0.0005 0.0000 0.3765
Si: 0.0017 0.0000 0.6258
Si: 0.0037 0.0000 0.1248
Si: 0.0059 0.0000 0.8799
Si: 0.2439 0.0000 0.0619
Si: 0.2499 0.0000 0.3161
Si: 0.2593 0.0000 0.5663
Si: 0.5011 0.5000 0.5665
Si: 0.5122 0.5000 0.4385
Si: 0.5137 0.5000 0.1871
Si: 0.5140 0.5000 0.6880
Si: 0.7521 0.5000 0.7501
Si: 0.7594 0.5000 0.6265
Si: 0.7604 0.5000 0.0028
Si: 0.7608 0.5000 0.3779
Si: 0.7638 0.5000 0.1268
Si: 0.7653 0.5000 0.8780
Ge: 0.0024 0.0000 0.7515
Ge: 0.0122 0.0000 0.5031
Ge: 0.0129 0.0000 0.2521
Ge: 0.2545 0.0000 0.8167
Ge: 0.2610 0.0000 0.4380
Ge: 0.2625 0.0000 0.1869
Ge: 0.2615 0.0000 0.6876
Ge: 0.5006 0.5000 0.3163
Ge: 0.5017 0.5000 0.0652
Ge: 0.5034 0.5000 0.9399
Ge: 0.5186 0.5000 0.8146
Ge: 0.7474 0.5000 0.5030
Ge: 0.7497 0.5000 0.2512
P: 0.2378 0.0000 0.9410

Most intense lines, 5 to 70 degrees two-theta, in order of rising 2θ:
| d (Å) | 2θ/deg | intensity |
| --- | --- | --- |
| 7.862 | 11.25 | 16 |
| 4.547 | 19.52 | 9 |
| 3.211 | 27.78 | 100 |
| 2.970 | 30.09 | 7 |
| 1.967 | 46.14 | 59 |
| 1.962 | 46.28 | 12 |
| 1.681 | 54.61 | 14 |
| 1.676 | 54.76 | 15 |
| 1.674 | 54.83 | 15 |
| 1.389 | 67.45 | 7 |

***

# 7
For GePW, a structure optimized by DFT (GGA-PBE) gives the computed XRD peak list in this record (Cu Kα (λ = 1.5418 Å)).

Cell and atoms:
Cell: 3.6092 3.6092 4.6546 Å, 90.00 90.00 90.00°
Atoms (fractional coordinates):
Ge: 0.0000 0.0000 0.0000
P: 0.5000 0.5000 0.5000
W: 0.5000 0.5000 0.0000

Most intense lines, 5 to 70 degrees two-theta, in order of rising 2θ:
| d (Å) | 2θ/deg | intensity |
| --- | --- | --- |
| 4.655 | 19.07 | 100 |
| 3.609 | 24.67 | 41 |
| 2.552 | 35.16 | 72 |
| 2.327 | 38.69 | 28 |
| 2.238 | 40.30 | 62 |
| 1.956 | 46.43 | 15 |
| 1.805 | 50.58 | 26 |
| 1.720 | 53.27 | 44 |
| 1.683 | 54.54 | 26 |
| 1.426 | 65.45 | 25 |

***

# 8
For PaGeSe, a structure optimized by DFT (GGA-PBE) gives the computed XRD peak list in this record (Cu Kα (λ = 1.5418 Å)).

Cell and atoms:
Cell: 8.7643 8.7643 8.7643 Å, 153.63 153.63 37.63°
Atoms (fractional coordinates):
Pa: 0.1333 0.1333 0.0000
Pa: 0.8667 0.8667 0.0000
Ge: 0.0000 0.5000 0.5000
Ge: 0.5000 0.0000 0.5000
Se: 0.3161 0.3161 0.0000
Se: 0.6839 0.6839 0.0000

Most intense lines, 5 to 70 degrees two-theta, in order of rising 2θ:
| d (Å) | 2θ/deg | intensity |
| --- | --- | --- |
| 4.148 | 21.42 | 27 |
| 3.886 | 22.88 | 57 |
| 3.240 | 27.53 | 29 |
| 2.827 | 31.65 | 48 |
| 2.676 | 33.49 | 37 |
| 2.553 | 35.15 | 47 |
| 2.336 | 38.54 | 100 |
| 2.039 | 44.43 | 37 |
| 1.999 | 45.37 | 50 |
| 1.427 | 65.38 | 24 |